1.
For Cs2BrF6, a crystal structure in Alexandria, relaxed with GGA-PBE gives the theoretical powder XRD pattern in this record (copper Kα).
Intensities are scaled so that the largest is 100.

Structure:
a b c (Å): 6.706 6.706 5.109
angles (deg): 90.16 90.16 55.01
Fractional positions:
Cs 0.177 0.177 0.287
Cs 0.823 0.823 0.713
Br 0.500 0.500 0.000
F 0.216 0.659 0.215
F 0.317 0.317 0.788
F 0.341 0.784 0.785
F 0.659 0.216 0.215
F 0.683 0.683 0.212
F 0.784 0.341 0.785

Top 10 peaks for 15 to 90 degrees two-theta, sorted by position:
- 2θ 22.91, I = 49
- 2θ 23.80, I = 100
- 2θ 26.69, I = 67
- 2θ 28.83, I = 28
- 2θ 34.93, I = 50
- 2θ 37.15, I = 53
- 2θ 38.86, I = 21
- 2θ 45.92, I = 15
- 2θ 48.69, I = 24
- 2θ 54.99, I = 15

---

2.
For CsBr3F, a crystal structure in Alexandria, relaxed with GGA-PBE gives the theoretical powder XRD pattern in this record (copper Kα).
Intensities are scaled so that the largest is 100.

Structure:
a b c (Å): 7.773 7.773 7.773
angles (deg): 120.08 120.08 89.86
Fractional positions:
Cs 0.250 0.750 0.500
Cs 0.750 0.250 0.500
Br 0.197 0.197 0.000
Br 0.283 0.283 0.566
Br 0.283 0.717 0.000
Br 0.717 0.283 0.000
Br 0.717 0.717 0.434
Br 0.803 0.803 0.000
F 0.000 0.000 0.000
F 0.500 0.500 0.000

Top 10 peaks for 15 to 90 degrees two-theta, sorted by position:
- 2θ 22.89, I = 19
- 2θ 26.90, I = 18
- 2θ 28.13, I = 100
- 2θ 32.60, I = 62
- 2θ 35.64, I = 9
- 2θ 46.77, I = 35
- 2θ 49.04, I = 15
- 2θ 55.51, I = 21
- 2θ 58.17, I = 9
- 2θ 65.27, I = 8

---

3.
For Cs2BrF7, a crystal structure in Alexandria, relaxed with GGA-PBE gives the theoretical powder XRD pattern in this record (copper Kα).
Intensities are scaled so that the largest is 100.

Structure:
a b c (Å): 8.402 8.402 10.888
angles (deg): 129.49 129.49 47.40
Fractional positions:
Cs 0.021 0.667 0.931
Cs 0.333 0.979 0.569
Cs 0.667 0.021 0.431
Cs 0.979 0.333 0.069
Br 0.295 0.705 0.750
Br 0.705 0.295 0.250
F 0.030 0.120 0.243
F 0.120 0.030 0.743
F 0.218 0.604 0.512
F 0.229 0.471 0.686
F 0.396 0.782 0.988
F 0.413 0.587 0.250
F 0.471 0.229 0.186
F 0.529 0.771 0.814
F 0.587 0.413 0.750
F 0.604 0.218 0.012
F 0.771 0.529 0.314
F 0.782 0.396 0.488
F 0.880 0.970 0.257
F 0.970 0.880 0.757

Top 10 peaks for 15 to 90 degrees two-theta, sorted by position:
- 2θ 22.21, I = 100
- 2θ 22.36, I = 25
- 2θ 23.13, I = 58
- 2θ 27.91, I = 44
- 2θ 28.87, I = 37
- 2θ 35.37, I = 22
- 2θ 36.16, I = 42
- 2θ 36.53, I = 27
- 2θ 44.24, I = 21
- 2θ 47.28, I = 22